This entry pairs a crystal structure of Dy5HoBi2Os with its computed powder XRD pattern. Radiation: copper Kα. Structure: the GGA-PBE geometry in OQMD.

Largest 10 diffraction maxima, low angle first, 2θ from 10° to 90°:
2theta	I_rel
30.14	100
32.67	88
32.97	51
37.54	52
39.40	65
42.68	30
54.96	24
58.13	30
60.22	35
63.22	17

Crystal structure
```
9
Lattice="4.2368 0.0000 0.0000 0.0000 7.1921 4.1473 0.0000 -7.1921 4.1473" Properties=species:S:1:pos:R:3 pbc="T T T"
Dy 0.0000 0.0000 0.0000
Dy 0.0000 -2.7868 4.8255
Dy 0.0000 2.7868 4.8255
Dy 2.1184 -1.6815 2.2468
Dy 2.1184 1.6815 2.2468
Ho 2.1184 0.0000 5.1512
Bi 2.1184 -4.7968 3.2149
Bi 2.1184 4.7968 3.2149
Os 0.0000 0.0000 3.2217
```

***

This entry pairs a crystal structure of Hf2SbAsIr2 with its computed powder XRD pattern. Radiation: copper Kα. Structure: the GGA-PBE geometry in OQMD.

Largest 10 diffraction maxima, low angle first, 2θ from 10° to 90°:
2theta	I_rel
24.75	48
28.65	5
40.96	100
48.45	24
59.32	17
65.26	10
67.18	1
74.61	34
80.01	8
88.82	11

Crystal structure
```
24
Lattice="10.7936 0.0000 0.0000 0.0000 4.4068 0.0000 -3.6008 0.0000 10.1753" Properties=species:S:1:pos:R:3 pbc="T T T"
Hf 0.0000 0.0000 0.0000
Hf -0.0400 2.2034 3.8121
Hf -0.0002 0.0000 7.6587
Hf 3.5953 2.2034 1.2141
Hf 3.5326 0.0000 5.1286
Hf 3.5465 2.2034 8.9107
Hf 7.1792 0.0000 2.4703
Hf 7.2075 2.2034 6.4054
Sb 1.7824 0.0000 2.5364
Sb 5.3740 2.2034 3.8124
Sb 5.3712 0.0000 7.6481
Sb 8.9796 0.0000 5.0912
As -1.8082 2.2034 8.9049
As 1.7643 2.2034 6.3741
As 1.7740 0.0000 10.1564
As 8.9783 2.2034 1.2541
Ir -0.8841 2.2034 6.4003
Ir -0.9025 0.0000 10.1468
Ir 2.6547 2.2034 3.8443
Ir 2.6459 0.0000 7.6520
Ir 6.2783 2.2034 1.2241
Ir 6.2797 0.0000 5.0907
Ir 6.2921 2.2034 8.9465
Ir 9.8491 0.0000 2.5062
```

***

This entry pairs a crystal structure of Sm4BI3Cl2 with its computed powder XRD pattern. Radiation: copper Kα. Structure: the GGA-PBE geometry in OQMD.

Largest 10 diffraction maxima, low angle first, 2θ from 10° to 90°:
2theta	I_rel
10.32	63
23.33	17
27.22	16
28.85	44
30.04	100
32.60	26
32.94	26
41.27	27
42.99	25
44.39	19

Crystal structure
```
10
Lattice="9.4270 -2.0409 0.0000 9.4270 2.0409 0.0000 -1.5176 0.0000 8.5700" Properties=species:S:1:pos:R:3 pbc="T T T"
Sm -0.4149 0.0000 2.5635
Sm 6.1615 0.0000 3.6922
Sm 11.1750 0.0000 4.8778
Sm 17.7513 0.0000 6.0065
B 8.6682 0.0000 4.2850
I 2.8298 0.0000 2.6783
I 9.4270 0.0000 0.0000
I 14.5067 0.0000 5.8917
Cl 1.6129 0.0000 6.8021
Cl 15.7236 0.0000 1.7679
```

***

This entry pairs a crystal structure of Sr2Te2PdF2 with its computed powder XRD pattern. Radiation: copper Kα. Structure: the GGA-PBE geometry in OQMD.

Largest 10 diffraction maxima, low angle first, 2θ from 10° to 90°:
2theta	I_rel
10.49	15
22.83	19
28.75	25
29.37	100
35.92	38
41.11	41
47.87	18
51.33	41
52.47	21
64.90	14

Crystal structure
```
7
Lattice="4.3910 0.0000 0.0000 0.0000 4.3910 0.0000 0.0000 0.0000 8.4311" Properties=species:S:1:pos:R:3 pbc="T T T"
Sr 0.0000 2.1955 1.3004
Sr 2.1955 0.0000 7.1307
Te 0.0000 2.1955 5.5881
Te 2.1955 0.0000 2.8430
Pd 2.1955 2.1955 4.2155
F 0.0000 0.0000 0.0000
F 2.1955 2.1955 0.0000
```